Structure and simulated X-ray diffraction stick pattern of MgZnSe3 (DFT lattice parameters and positions (GGA-PBE); Cu Ka).

Cell lengths 5.691, 5.691, 7.885 Å; angles 90.00, 90.00, 96.43 degrees
Positions (direct):
Mg1 0.000 0.000 0.000
Mg2 0.000 0.000 0.500
Zn1 0.382 0.618 0.750
Zn2 0.618 0.382 0.250
Se1 0.174 0.306 0.250
Se2 0.206 0.794 0.250
Se3 0.306 0.174 0.750
Se4 0.694 0.826 0.250
Se5 0.794 0.206 0.750
Se6 0.826 0.694 0.750

Most intense lines, 10° ≤ 2θ ≤ 90°, by angle:
2θ (°), I (rel.)
22.55, 100
31.64, 21
33.67, 92
35.74, 22
39.21, 43
44.21, 19
46.04, 20
47.21, 35
47.98, 17
53.64, 18